[1]
Theoretical powder diffraction line list
Compound: Li4Ti2V3Sn3O16
Radiation: Cu Ka
Structure: the GGA+U geometry in the Materials Project
Intensities are scaled so that the largest is 100.

a = 10.7282 Å, b = 6.1062 Å, c = 9.6820 Å
α = 90.00°, β = 90.60°, γ = 90.00°
Space group Cm (No. 8)
Unique sites:
Li 0.0000 0.0000 0.0000
Li 0.0040 0.0000 0.4876
Li 0.1616 0.5000 0.8960
Li 0.3219 0.0000 0.3915
Ti 0.1504 0.5000 0.4765
Ti 0.3165 0.0000 0.0005
V 0.0775 0.2655 0.2120
V 0.1660 0.0000 0.7128
Sn 0.3246 0.5000 0.2127
Sn 0.4110 0.2457 0.7134
O 0.0135 0.5000 0.3513
O 0.0818 0.2473 0.5961
O 0.1635 0.5000 0.0987
O 0.1660 0.0000 0.0936
O 0.2328 0.2842 0.3494
O 0.2543 0.2154 0.8416
O 0.3283 0.0000 0.5965
O 0.3343 0.5000 0.5928
O 0.4061 0.2428 0.0900
O 0.4789 0.0000 0.8428
O 0.4965 0.5000 0.3026
O 0.4984 0.5000 0.8149

Peak list (10 most intense, 2θ = 10–90°, low angle first)
d/Å, I/Imax
4.841, 100
4.668, 61
4.643, 41
2.591, 36
2.580, 31
2.559, 62
2.054, 40
2.044, 30
1.561, 26
1.543, 34

=====

[2]
Theoretical powder diffraction line list
Compound: LiVSnO4
Radiation: Cu Ka
Structure: the GGA+U geometry in the Materials Project
Intensities are scaled so that the largest is 100.

a = 6.1163 Å, b = 6.1163 Å, c = 8.6714 Å
α = 90.00°, β = 90.00°, γ = 90.00°
Space group P4_322 (No. 95)
Unique sites:
Li 0.0000 0.2314 0.0000
V 0.2404 0.5000 0.2500
Sn 0.2536 0.2536 0.6250
O 0.0184 0.2617 0.2514
O 0.2631 0.4817 0.0112

Peak list (10 most intense, 2θ = 10–90°, low angle first)
d/Å, I/Imax
4.998, 35
3.061, 90
2.610, 100
1.986, 16
1.767, 38
1.667, 17
1.665, 21
1.530, 39
1.157, 14
1.127, 13